Calculated XRD peak list of ICl3O for a wavelength of 1.5418 Å, from a cell relaxed with PBE.
No peak broadening, texture or thermal motion is included.

The 6 most intense peaks (5 to 70 degrees two-theta), in order of falling intensity:
2θ = 21.52°, rel. 100
2θ = 13.72°, rel. 90
2θ = 14.09°, rel. 83
2θ = 23.58°, rel. 73
2θ = 12.68°, rel. 57
2θ = 25.56°, rel. 51

Cell and atoms:
a = 7.367 Å, b = 8.218 Å, c = 8.279 Å
α = 119.00°, β = 90.59°, γ = 114.62°
Space group P1 (No. 1)
One atom of each set of equivalent atoms:
I 0.000 0.000 0.000 [1 per cell]
I 0.020 0.730 0.291 [1 per cell]
Cl 0.262 0.207 0.907 [1 per cell]
Cl 0.289 0.970 0.176 [1 per cell]
Cl 0.298 0.719 0.433 [1 per cell]
Cl 0.722 0.009 0.857 [1 per cell]
Cl 0.732 0.762 0.117 [1 per cell]
Cl 0.758 0.522 0.383 [1 per cell]
O 0.049 0.453 0.724 [1 per cell]
O 0.978 0.281 0.569 [1 per cell]

Calculated XRD peak list of AlCd4Si for a wavelength of 1.5418 Å, from a cell relaxed with PBE.
No peak broadening, texture or thermal motion is included.

The 6 most intense peaks (5 to 70 degrees two-theta), in order of falling intensity:
2θ = 36.56°, rel. 100
2θ = 18.86°, rel. 87
2θ = 38.25°, rel. 86
2θ = 64.69°, rel. 32
2θ = 44.46°, rel. 32
2θ = 58.87°, rel. 32

Cell and atoms:
a = 8.151 Å, b = 8.151 Å, c = 8.151 Å
α = 90.00°, β = 90.00°, γ = 90.00°
Space group F-43m (No. 216)
One atom of each set of equivalent atoms:
Al 0.000 0.000 0.000 [4 per cell]
Cd 0.125 0.125 0.625 [16 per cell]
Si 0.250 0.250 0.250 [4 per cell]

Calculated XRD peak list of Ho3Sc2S7 for a wavelength of 1.5418 Å, from a cell relaxed with PBE.
No peak broadening, texture or thermal motion is included.

The 6 most intense peaks (5 to 70 degrees two-theta), in order of falling intensity:
2θ = 34.15°, rel. 100
2θ = 24.54°, rel. 85
2θ = 25.08°, rel. 80
2θ = 26.88°, rel. 74
2θ = 28.88°, rel. 59
2θ = 35.26°, rel. 50

Cell and atoms:
a = 12.352 Å, b = 3.729 Å, c = 11.383 Å
α = 90.00°, β = 104.42°, γ = 90.00°
Space group Cm (No. 8)
One atom of each set of equivalent atoms:
Ho 0.000 0.000 0.000 [2 per cell]
Ho 0.086 0.500 0.384 [2 per cell]
Ho 0.187 0.000 0.760 [2 per cell]
Sc 0.277 0.500 0.157 [2 per cell]
Sc 0.386 0.500 0.573 [2 per cell]
S 0.040 0.500 0.623 [2 per cell]
S 0.135 0.500 0.933 [2 per cell]
S 0.153 0.000 0.223 [2 per cell]
S 0.233 0.000 0.525 [2 per cell]
S 0.352 0.500 0.784 [2 per cell]
S 0.386 0.000 0.085 [2 per cell]
S 0.421 0.500 0.361 [2 per cell]

Calculated XRD peak list of Li2Ac5Cd12 for a wavelength of 1.5418 Å, from a cell relaxed with PBE.
No peak broadening, texture or thermal motion is included.

The 6 most intense peaks (5 to 70 degrees two-theta), in order of falling intensity:
2θ = 30.45°, rel. 100
2θ = 29.21°, rel. 88
2θ = 30.10°, rel. 74
2θ = 31.79°, rel. 64
2θ = 33.03°, rel. 45
2θ = 27.16°, rel. 40

Cell and atoms:
a = 18.228 Å, b = 7.847 Å, c = 7.533 Å
α = 90.00°, β = 94.90°, γ = 90.00°
Space group C2/m (No. 12)
One atom of each set of equivalent atoms:
Li 0.000 0.206 0.000 [4 per cell]
Ac 0.000 0.500 0.500 [2 per cell]
Ac 0.204 0.000 0.056 [4 per cell]
Ac 0.241 0.500 0.412 [4 per cell]
Cd 0.046 0.000 0.694 [4 per cell]
Cd 0.094 0.500 0.076 [4 per cell]
Cd 0.101 0.190 0.344 [8 per cell]
Cd 0.141 0.303 0.753 [8 per cell]

Calculated XRD peak list of PuCuAsO5 for a wavelength of 1.5418 Å, from a cell relaxed with PBE.
No peak broadening, texture or thermal motion is included.

The 6 most intense peaks (5 to 70 degrees two-theta), in order of falling intensity:
2θ = 23.47°, rel. 100
2θ = 17.56°, rel. 90
2θ = 30.18°, rel. 87
2θ = 31.83°, rel. 57
2θ = 34.42°, rel. 42
2θ = 30.05°, rel. 39

Cell and atoms:
a = 6.651 Å, b = 9.570 Å, c = 8.071 Å
α = 90.00°, β = 110.89°, γ = 90.00°
Space group C2/c (No. 15)
One atom of each set of equivalent atoms:
Pu 0.250 0.250 0.000 [4 per cell]
Cu 0.000 0.048 0.250 [4 per cell]
As 0.000 0.447 0.250 [4 per cell]
O 0.000 0.369 0.750 [4 per cell]
O 0.025 0.180 0.064 [8 per cell]
O 0.238 0.438 0.149 [8 per cell]

Calculated XRD peak list of Ac2AlTl2 for a wavelength of 1.5418 Å, from a cell relaxed with PBE.
No peak broadening, texture or thermal motion is included.

The 6 most intense peaks (5 to 70 degrees two-theta), in order of falling intensity:
2θ = 29.33°, rel. 100
2θ = 28.43°, rel. 92
2θ = 34.37°, rel. 55
2θ = 37.15°, rel. 42
2θ = 28.80°, rel. 42
2θ = 23.05°, rel. 33

Cell and atoms:
a = 12.445 Å, b = 4.840 Å, c = 11.874 Å
α = 90.00°, β = 116.55°, γ = 90.00°
Space group C2/m (No. 12)
One atom of each set of equivalent atoms:
Ac 0.002 0.000 0.165 [4 per cell]
Ac 0.184 0.000 0.610 [4 per cell]
Al 0.203 0.500 0.830 [4 per cell]
Tl 0.033 0.500 0.385 [4 per cell]
Tl 0.164 0.500 0.060 [4 per cell]

Calculated XRD peak list of YThSe3 for a wavelength of 1.5418 Å, from a cell relaxed with PBE.
No peak broadening, texture or thermal motion is included.

The 6 most intense peaks (5 to 70 degrees two-theta), in order of falling intensity:
2θ = 8.43°, rel. 100
2θ = 32.49°, rel. 100
2θ = 43.19°, rel. 70
2θ = 35.58°, rel. 56
2θ = 38.86°, rel. 52
2θ = 24.74°, rel. 52

Cell and atoms:
a = 4.221 Å, b = 20.990 Å, c = 7.286 Å
α = 90.00°, β = 90.00°, γ = 90.00°
Space group Cmc2_1 (No. 36)
One atom of each set of equivalent atoms:
Y 0.000 0.163 0.000 [4 per cell]
Th 0.000 0.340 0.997 [4 per cell]
Se 0.000 0.090 0.673 [4 per cell]
Se 0.000 0.251 0.332 [4 per cell]
Se 0.000 0.407 0.658 [4 per cell]

Calculated XRD peak list of CaPm3Pr4 for a wavelength of 1.5418 Å, from a cell relaxed with PBE.
No peak broadening, texture or thermal motion is included.

The 6 most intense peaks (5 to 70 degrees two-theta), in order of falling intensity:
2θ = 29.57°, rel. 100
2θ = 49.25°, rel. 36
2θ = 34.24°, rel. 34
2θ = 58.45°, rel. 29
2θ = 34.35°, rel. 17
2θ = 58.60°, rel. 14

Cell and atoms:
a = 7.410 Å, b = 10.443 Å, c = 7.406 Å
α = 90.00°, β = 90.00°, γ = 90.00°
Space group Pmna (No. 53)
One atom of each set of equivalent atoms:
Ca 0.000 0.000 0.000 [2 per cell]
Pm 0.000 0.500 0.000 [2 per cell]
Pm 0.250 0.256 0.250 [4 per cell]
Pr 0.000 0.000 0.500 [2 per cell]
Pr 0.000 0.500 0.500 [2 per cell]
Pr 0.250 0.256 0.750 [4 per cell]

Calculated XRD peak list of Sr2PrGaCu2O7 for a wavelength of 1.5418 Å, from a cell relaxed with PBE.
No peak broadening, texture or thermal motion is included.

The 6 most intense peaks (5 to 70 degrees two-theta), in order of falling intensity:
2θ = 32.42°, rel. 100
2θ = 46.37°, rel. 29
2θ = 7.57°, rel. 29
2θ = 32.71°, rel. 28
2θ = 58.19°, rel. 27
2θ = 31.93°, rel. 26

Cell and atoms:
a = 23.365 Å, b = 5.605 Å, c = 5.475 Å
α = 90.00°, β = 90.00°, γ = 90.00°
Space group Ima2 (No. 46)
One atom of each set of equivalent atoms:
Sr 0.153 0.020 0.000 [8 per cell]
Pr 0.000 0.000 0.004 [4 per cell]
Ga 0.250 0.570 0.968 [4 per cell]
Cu 0.076 0.501 0.004 [8 per cell]
O 0.066 0.248 0.253 [8 per cell]
O 0.068 0.750 0.254 [8 per cell]
O 0.178 0.049 0.534 [8 per cell]
O 0.250 0.622 0.620 [4 per cell]

Calculated XRD peak list of Nd2In5Pd3 for a wavelength of 1.5418 Å, from a cell relaxed with PBE.
No peak broadening, texture or thermal motion is included.

The 6 most intense peaks (5 to 70 degrees two-theta), in order of falling intensity:
2θ = 32.75°, rel. 100
2θ = 39.15°, rel. 46
2θ = 35.52°, rel. 18
2θ = 35.81°, rel. 17
2θ = 66.90°, rel. 12
2θ = 31.35°, rel. 12

Cell and atoms:
a = 4.603 Å, b = 26.910 Å, c = 7.339 Å
α = 90.00°, β = 90.00°, γ = 90.00°
Space group Cmc2_1 (No. 36)
One atom of each set of equivalent atoms:
Nd 0.000 0.022 0.000 [4 per cell]
Nd 0.000 0.326 0.064 [4 per cell]
In 0.000 0.099 0.368 [4 per cell]
In 0.000 0.207 0.864 [4 per cell]
In 0.000 0.209 0.274 [4 per cell]
In 0.000 0.375 0.520 [4 per cell]
In 0.000 0.448 0.170 [4 per cell]
Pd 0.000 0.108 0.753 [4 per cell]
Pd 0.000 0.273 0.572 [4 per cell]
Pd 0.000 0.453 0.782 [4 per cell]

Calculated XRD peak list of La3Ga3Cu2 for a wavelength of 1.5418 Å, from a cell relaxed with PBE.
No peak broadening, texture or thermal motion is included.

The 6 most intense peaks (5 to 70 degrees two-theta), in order of falling intensity:
2θ = 31.62°, rel. 100
2θ = 32.59°, rel. 70
2θ = 33.88°, rel. 46
2θ = 39.37°, rel. 46
2θ = 39.96°, rel. 42
2θ = 35.16°, rel. 26

Cell and atoms:
a = 4.577 Å, b = 10.574 Å, c = 15.314 Å
α = 90.00°, β = 90.00°, γ = 90.00°
Space group Cmcm (No. 63)
One atom of each set of equivalent atoms:
La 0.000 0.109 0.106 [8 per cell]
La 0.000 0.391 0.250 [4 per cell]
Ga 0.000 0.312 0.750 [4 per cell]
Ga 0.000 0.389 0.039 [8 per cell]
Cu 0.000 0.193 0.598 [8 per cell]

Calculated XRD peak list of GaCl2 for a wavelength of 1.5418 Å, from a cell relaxed with PBE.
No peak broadening, texture or thermal motion is included.

The 6 most intense peaks (5 to 70 degrees two-theta), in order of falling intensity:
2θ = 23.29°, rel. 100
2θ = 17.86°, rel. 44
2θ = 31.55°, rel. 38
2θ = 34.68°, rel. 28
2θ = 17.42°, rel. 28
2θ = 40.28°, rel. 27

Cell and atoms:
a = 7.353 Å, b = 10.030 Å, c = 9.935 Å
α = 90.00°, β = 90.00°, γ = 90.00°
Space group Pnna (No. 52)
One atom of each set of equivalent atoms:
Ga 0.126 0.250 0.250 [4 per cell]
Ga 0.250 0.000 0.686 [4 per cell]
Cl 0.006 0.032 0.811 [8 per cell]
Cl 0.181 0.676 0.938 [8 per cell]